Entry 1:
Calculated powder diffraction line list
Compound: CaAl6H12S4O28
Radiation: Cu Kα (λ = 1.5418 Å)
Structure: a crystal structure in Alexandria, relaxed with GGA-PBE
Kinematic intensities with the Lorentz-polarization factor, no thermal factor.

Principal peaks in the range 2θ = 10–80°, most intense first:
2θ (°), intensity
29.87, 100
17.90, 87
29.75, 50
47.50, 41
39.98, 36
51.91, 32
25.28, 25
62.59, 22
14.75, 11
30.11, 11
72.99, 10
62.06, 10

Cell and atoms:
abc: 12.033 12.033 12.033
angles: 34.05 34.05 34.05
Fractional coordinates of all 51 atoms:
Ca  0.000  0.000  0.000
Al  0.250  0.250  0.746
Al  0.250  0.746  0.250
Al  0.254  0.750  0.750
Al  0.746  0.250  0.250
Al  0.750  0.254  0.750
Al  0.750  0.750  0.254
H  0.075  0.633  0.633
H  0.143  0.143  0.545
H  0.143  0.545  0.143
H  0.367  0.367  0.925
H  0.367  0.925  0.367
H  0.455  0.857  0.857
H  0.545  0.143  0.143
H  0.633  0.075  0.633
H  0.633  0.633  0.075
H  0.857  0.455  0.857
H  0.857  0.857  0.455
H  0.925  0.367  0.367
S  0.150  0.150  0.150
S  0.344  0.344  0.344
S  0.656  0.656  0.656
S  0.850  0.850  0.850
O  0.058  0.058  0.693
O  0.058  0.693  0.058
O  0.096  0.750  0.750
O  0.166  0.556  0.556
O  0.193  0.193  0.193
O  0.244  0.244  0.589
O  0.244  0.589  0.244
O  0.250  0.250  0.904
O  0.250  0.904  0.250
O  0.301  0.301  0.301
O  0.307  0.942  0.942
O  0.411  0.756  0.756
O  0.444  0.444  0.834
O  0.444  0.834  0.444
O  0.556  0.166  0.556
O  0.556  0.556  0.166
O  0.589  0.244  0.244
O  0.693  0.058  0.058
O  0.699  0.699  0.699
O  0.750  0.096  0.750
O  0.750  0.750  0.096
O  0.756  0.411  0.756
O  0.756  0.756  0.411
O  0.807  0.807  0.807
O  0.834  0.444  0.444
O  0.904  0.250  0.250
O  0.942  0.307  0.942
O  0.942  0.942  0.307

***

Entry 2:
Calculated powder diffraction line list
Compound: Ca2Al2SiH2O8
Radiation: Cu Kα (λ = 1.5418 Å)
Structure: a crystal structure in Alexandria, relaxed with GGA-PBE
Kinematic intensities with the Lorentz-polarization factor, no thermal factor.

Principal peaks in the range 2θ = 10–80°, most intense first:
2θ (°), intensity
24.46, 100
31.68, 76
31.88, 40
58.66, 40
34.87, 32
60.57, 28
42.96, 27
37.72, 21
58.43, 20
43.11, 14
40.38, 13
43.23, 11

Cell and atoms:
abc: 7.720 7.720 7.720
angles: 109.28 109.28 109.86
Fractional coordinates of all 30 atoms:
Ca  0.214  0.214  0.718
Ca  0.496  0.496  0.282
Ca  0.504  0.786  0.000
Ca  0.786  0.504  0.000
Al  0.000  0.253  0.253
Al  0.000  0.747  0.747
Al  0.253  0.000  0.253
Al  0.747  0.000  0.747
Si  0.250  0.750  0.500
Si  0.750  0.250  0.500
H  0.154  0.522  0.000
H  0.478  0.478  0.632
H  0.522  0.154  0.000
H  0.846  0.846  0.368
O  0.067  0.514  0.292
O  0.069  0.774  0.000
O  0.223  0.775  0.708
O  0.225  0.933  0.447
O  0.226  0.226  0.295
O  0.270  0.498  0.000
O  0.486  0.777  0.553
O  0.498  0.270  0.000
O  0.502  0.502  0.772
O  0.514  0.067  0.292
O  0.730  0.730  0.228
O  0.774  0.069  0.000
O  0.775  0.223  0.708
O  0.777  0.486  0.553
O  0.931  0.931  0.705
O  0.933  0.225  0.447

***

Entry 3:
Calculated powder diffraction line list
Compound: CaAl2Si2HO9
Radiation: Cu Kα (λ = 1.5418 Å)
Structure: a crystal structure in Alexandria, relaxed with GGA-PBE
Kinematic intensities with the Lorentz-polarization factor, no thermal factor.

Principal peaks in the range 2θ = 10–80°, most intense first:
2θ (°), intensity
18.11, 100
34.05, 65
42.38, 63
59.24, 54
20.98, 53
13.60, 49
33.71, 48
33.04, 48
27.45, 45
19.36, 41
24.12, 36
53.38, 33

Cell and atoms:
abc: 5.348 5.348 13.023
angles: 90.00 90.00 113.67
Fractional coordinates of all 30 atoms:
Ca  0.180  0.820  0.750
Ca  0.820  0.180  0.250
Al  0.000  0.500  0.000
Al  0.000  0.500  0.500
Al  0.500  0.000  0.000
Al  0.500  0.000  0.500
Si  0.476  0.524  0.131
Si  0.476  0.524  0.369
Si  0.524  0.476  0.631
Si  0.524  0.476  0.869
H  0.121  0.879  0.250
H  0.879  0.121  0.750
O  0.143  0.399  0.119
O  0.143  0.399  0.381
O  0.146  0.854  0.054
O  0.146  0.854  0.446
O  0.368  0.632  0.564
O  0.368  0.632  0.936
O  0.399  0.143  0.619
O  0.399  0.143  0.881
O  0.453  0.547  0.750
O  0.547  0.453  0.250
O  0.601  0.857  0.119
O  0.601  0.857  0.381
O  0.632  0.368  0.064
O  0.632  0.368  0.436
O  0.854  0.146  0.554
O  0.854  0.146  0.946
O  0.857  0.601  0.619
O  0.857  0.601  0.881

***

Entry 4:
Calculated powder diffraction line list
Compound: Ca3AlH6S2
Radiation: Cu Kα (λ = 1.5418 Å)
Structure: a crystal structure in Alexandria, relaxed with GGA-PBE
Kinematic intensities with the Lorentz-polarization factor, no thermal factor.

Principal peaks in the range 2θ = 10–80°, most intense first:
2θ (°), intensity
14.30, 100
28.76, 84
33.26, 75
34.21, 70
36.62, 67
35.35, 64
51.16, 53
50.85, 50
28.93, 46
37.91, 43
47.43, 31
24.93, 25

Cell and atoms:
abc: 7.155 7.155 3.843
angles: 93.37 93.37 60.27
Fractional coordinates of all 12 atoms:
Ca  0.000  0.000  0.000
Ca  0.000  0.500  0.000
Ca  0.500  0.000  0.000
Al  0.500  0.500  0.500
H  0.258  0.604  0.232
H  0.396  0.742  0.768
H  0.398  0.398  0.783
H  0.602  0.602  0.217
H  0.604  0.258  0.232
H  0.742  0.396  0.768
S  0.170  0.170  0.481
S  0.830  0.830  0.519

***

Entry 5:
Calculated powder diffraction line list
Compound: Ca3AlHg3
Radiation: Cu Kα (λ = 1.5418 Å)
Structure: a crystal structure in Alexandria, relaxed with GGA-PBE
Kinematic intensities with the Lorentz-polarization factor, no thermal factor.

Principal peaks in the range 2θ = 10–80°, most intense first:
2θ (°), intensity
21.31, 100
30.42, 100
36.86, 74
24.32, 44
23.36, 40
30.69, 39
40.00, 37
34.55, 34
46.83, 23
36.97, 23
36.59, 22
45.54, 21

Cell and atoms:
abc: 6.250 6.250 15.506
angles: 108.41 108.41 42.28
Fractional coordinates of all 14 atoms:
Ca  0.025  0.025  0.388
Ca  0.103  0.103  0.918
Ca  0.247  0.247  0.233
Ca  0.753  0.753  0.767
Ca  0.897  0.897  0.082
Ca  0.975  0.975  0.612
Al  0.263  0.263  0.603
Al  0.737  0.737  0.397
Hg  0.361  0.361  0.454
Hg  0.377  0.377  0.923
Hg  0.471  0.471  0.761
Hg  0.529  0.529  0.239
Hg  0.623  0.623  0.077
Hg  0.639  0.639  0.546